# 1
# ReTe3Br5
Calculated powder X-ray diffraction pattern, Cu Kα X-rays. Input: a cell relaxed with PBE.
Peak positions follow from Bragg's law for the DFT cell and can differ from measured ones.

Cell and atoms:
Cell lengths 11.5366, 8.7968, 12.6161 Å; angles 90.00, 105.86, 90.00 degrees
Space group P2_1 (No. 4)
Unique sites:
Re 0.1350 0.0000 0.2805 (multiplicity 2)
Re 0.2773 0.2183 0.2110 (multiplicity 2)
Te 0.0659 0.1238 0.0827 (multiplicity 2)
Te 0.1107 0.8184 0.4496 (multiplicity 2)
Te 0.1378 0.2991 0.3450 (multiplicity 2)
Te 0.3092 0.9266 0.1889 (multiplicity 2)
Te 0.3337 0.1147 0.4216 (multiplicity 2)
Te 0.4298 0.2652 0.0804 (multiplicity 2)
Br 0.0544 0.7222 0.2207 (multiplicity 2)
Br 0.0810 0.5113 0.6820 (multiplicity 2)
Br 0.0937 0.8348 0.8950 (multiplicity 2)
Br 0.1658 0.9885 0.6255 (multiplicity 2)
Br 0.2245 0.4592 0.0817 (multiplicity 2)
Br 0.2932 0.6371 0.5076 (multiplicity 2)
Br 0.3353 0.1250 0.8960 (multiplicity 2)
Br 0.3868 0.5884 0.8566 (multiplicity 2)
Br 0.4651 0.3966 0.2986 (multiplicity 2)
Br 0.4952 0.3479 0.6446 (multiplicity 2)

Peak list (8 most intense, 10° ≤ 2θ ≤ 90°, low angle first)
two_theta, I_rel, hkl
12.19, 90, 1 0 1
12.43, 100, 0 1 1
12.84, 66, 1 1 0
31.60, 27, 3 2 0
31.95, 53, 2 2 2
35.90, 32, 1 3 2
44.48, 26, 2 1 -6
49.05, 26, 4 3 -4



# 2
# Li4BiOsO6
Calculated powder X-ray diffraction pattern, Cu Kα X-rays. Input: a cell relaxed with PBE.
Peak positions follow from Bragg's law for the DFT cell and can differ from measured ones.

Cell and atoms:
Cell lengths 5.4294, 9.5148, 5.2370 Å; angles 90.00, 109.43, 90.00 degrees
Space group C2 (No. 5)
Unique sites:
Li 0.0000 0.0000 0.0000 (multiplicity 2)
Li 0.0000 0.1491 0.5000 (multiplicity 2)
Li 0.0000 0.3217 0.0000 (multiplicity 2)
Li 0.0000 0.6216 0.0000 (multiplicity 2)
Bi 0.0000 0.8140 0.5000 (multiplicity 2)
Os 0.0000 0.4838 0.5000 (multiplicity 2)
O 0.2134 0.3336 0.7436 (multiplicity 4)
O 0.2272 0.4910 0.2671 (multiplicity 4)
O 0.2370 0.6281 0.7464 (multiplicity 4)

Peak list (8 most intense, 10° ≤ 2θ ≤ 90°, low angle first)
two_theta, I_rel, hkl
17.96, 100, 0 0 1
18.65, 22, 0 2 0
19.69, 42, 1 1 0
22.47, 31, 1 1 -1
33.23, 43, 1 3 0
33.65, 22, 2 0 -1
35.02, 40, 2 0 0
40.85, 43, 1 3 1